Record 1
Theoretical powder XRD pattern
Compound: TaSeS
Radiation: a wavelength of 1.5418 Å
Structure: a GGA-PBE-relaxed structure

Peak list (8 most intense, 2θ = 10–90°, by angle)
2θ/deg, I/Imax, index
15.81, 77, 0 4 0
30.57, 74, 1 1 1
32.64, 75, 1 3 1
34.43, 44, 0 4 2
36.46, 100, 1 5 1
38.97, 49, 0 6 2
41.62, 84, 1 7 1
54.11, 48, 1 1 3

Structure:
```
data_TaSeS
_cell_length_a 3.409
_cell_length_b 22.425
_cell_length_c 5.882
_cell_angle_alpha 90.00
_cell_angle_beta 90.00
_cell_angle_gamma 90.00
_space_group_name_H-M_alt 'C m c 21'
_space_group_IT_number 36
loop_
_space_group_symop_operation_xyz
'x,y,z'
'-x,-y,z+1/2'
'-x,y,z'
'x,-y,z+1/2'
'x+1/2,y+1/2,z'
'-x+1/2,-y+1/2,z+1/2'
'-x+1/2,y+1/2,z'
'x+1/2,-y+1/2,z+1/2'
loop_
_atom_site_label
_atom_site_fract_x
_atom_site_fract_y
_atom_site_fract_z
Ta1 0.000 0.249 0.000
Se1 0.000 0.328 0.667
S1 0.000 0.183 0.665
```

Record 2
Theoretical powder XRD pattern
Compound: KTeWAuS2
Radiation: a wavelength of 1.5418 Å
Structure: a GGA-PBE-relaxed structure

Peak list (8 most intense, 2θ = 10–90°, by angle)
2θ/deg, I/Imax, index
11.12, 100, 0 2 0
29.77, 12, 1 1 2
30.29, 38, 1 3 1
33.85, 19, 1 3 2
34.54, 19, 0 0 4
36.40, 12, 0 2 4
38.11, 15, 0 6 2
39.17, 15, 1 3 3

Structure:
```
data_KTeWAuS2
_cell_length_a 3.779
_cell_length_b 15.908
_cell_length_c 10.386
_cell_angle_alpha 90.00
_cell_angle_beta 90.00
_cell_angle_gamma 90.00
_space_group_name_H-M_alt 'C m c m'
_space_group_IT_number 63
_space_group_name_Hall '-C 2c 2'
loop_
_atom_site_label
_atom_site_fract_x
_atom_site_fract_y
_atom_site_fract_z
K1 0.000 0.233 0.250
Te1 0.000 0.080 0.750
W1 0.000 0.000 0.000
Au1 0.000 0.437 0.750
S1 0.000 0.398 0.530
```